Record 1
This entry pairs a crystal structure of FeSiC with its simulated PXRD pattern. Radiation: copper Kα. Structure: a GGA-PBE-relaxed structure.
Peak positions follow from Bragg's law for the DFT cell and can differ from measured ones.

Top 12 peaks for 15° ≤ 2θ ≤ 90°, by intensity:
- 38.31°, I = 100
- 52.59°, I = 69
- 47.63°, I = 52
- 40.31°, I = 39
- 67.90°, I = 33
- 21.00°, I = 32
- 42.76°, I = 26
- 83.66°, I = 21
- 64.51°, I = 15
- 86.91°, I = 12
- 80.74°, I = 10
- 87.13°, I = 8

Structural model:
Lattice parameters (Å, degrees): 4.520 4.520 4.520 35.56 35.56 35.56
Fractional coordinates of all 3 atoms:
Fe: 0.000 0.000 0.000
Si: 0.189 0.189 0.189
C: 0.425 0.425 0.425



Record 2
This entry pairs a crystal structure of Fe6Si2C with its simulated PXRD pattern. Radiation: copper Kα. Structure: a GGA-PBE-relaxed structure.
Peak positions follow from Bragg's law for the DFT cell and can differ from measured ones.

Top 12 peaks for 15° ≤ 2θ ≤ 90°, by intensity:
- 43.24°, I = 100
- 51.27°, I = 26
- 48.51°, I = 25
- 47.03°, I = 24
- 40.00°, I = 20
- 73.25°, I = 16
- 86.93°, I = 13
- 83.10°, I = 9
- 34.71°, I = 9
- 64.63°, I = 8
- 57.86°, I = 6
- 23.71°, I = 6

Structural model:
Lattice parameters (Å, degrees): 5.040 5.040 7.507 90.00 90.00 90.00
Fractional coordinates of all 18 atoms:
Fe: 0.000 0.000 0.246
Fe: 0.000 0.000 0.754
Fe: 0.188 0.294 0.000
Fe: 0.206 0.312 0.500
Fe: 0.294 0.812 0.000
Fe: 0.312 0.794 0.500
Fe: 0.500 0.500 0.254
Fe: 0.500 0.500 0.746
Fe: 0.688 0.206 0.500
Fe: 0.706 0.188 0.000
Fe: 0.794 0.688 0.500
Fe: 0.812 0.706 0.000
Si: 0.000 0.500 0.250
Si: 0.000 0.500 0.750
Si: 0.500 0.000 0.250
Si: 0.500 0.000 0.750
C: 0.000 0.000 0.500
C: 0.500 0.500 0.000



Record 3
This entry pairs a crystal structure of Sm2Fe15Si2C with its simulated PXRD pattern. Radiation: copper Kα. Structure: a GGA-PBE-relaxed structure.
Peak positions follow from Bragg's law for the DFT cell and can differ from measured ones.

Top 12 peaks for 15° ≤ 2θ ≤ 90°, by intensity:
- 42.72°, I = 100
- 42.57°, I = 87
- 29.95°, I = 64
- 43.27°, I = 57
- 42.39°, I = 57
- 36.62°, I = 30
- 37.69°, I = 29
- 62.31°, I = 23
- 47.89°, I = 22
- 62.17°, I = 21
- 61.52°, I = 20
- 36.43°, I = 18

Structural model:
Lattice parameters (Å, degrees): 6.451 6.451 6.461 97.32 97.32 82.27
Fractional coordinates of all 20 atoms:
Sm: 0.158 0.158 0.356
Sm: 0.842 0.842 0.644
Fe: 0.000 0.500 0.000
Fe: 0.156 0.156 0.853
Fe: 0.163 0.652 0.340
Fe: 0.208 0.498 0.709
Fe: 0.218 0.782 0.000
Fe: 0.348 0.837 0.660
Fe: 0.498 0.208 0.709
Fe: 0.500 0.000 0.000
Fe: 0.500 0.500 0.500
Fe: 0.502 0.792 0.291
Fe: 0.652 0.163 0.340
Fe: 0.782 0.218 0.000
Fe: 0.792 0.502 0.291
Fe: 0.837 0.348 0.660
Fe: 0.844 0.844 0.147
Si: 0.398 0.398 0.100
Si: 0.602 0.602 0.900
C: 0.000 0.000 0.000



Record 4
This entry pairs a crystal structure of U6Fe16Si7C with its simulated PXRD pattern. Radiation: copper Kα. Structure: a GGA-PBE-relaxed structure.
Peak positions follow from Bragg's law for the DFT cell and can differ from measured ones.

Top 12 peaks for 15° ≤ 2θ ≤ 90°, by intensity:
- 26.57°, I = 100
- 40.32°, I = 98
- 44.07°, I = 97
- 37.92°, I = 36
- 86.64°, I = 33
- 56.55°, I = 27
- 30.77°, I = 26
- 65.76°, I = 25
- 33.61°, I = 25
- 68.50°, I = 24
- 61.26°, I = 21
- 46.90°, I = 20

Structural model:
Lattice parameters (Å, degrees): 8.219 8.219 8.219 60.00 60.00 60.00
Fractional coordinates of all 30 atoms:
U: 0.214 0.214 0.786
U: 0.214 0.786 0.214
U: 0.214 0.786 0.786
U: 0.786 0.214 0.214
U: 0.786 0.214 0.786
U: 0.786 0.786 0.214
Fe: 0.132 0.623 0.623
Fe: 0.175 0.175 0.175
Fe: 0.175 0.175 0.475
Fe: 0.175 0.475 0.175
Fe: 0.377 0.377 0.377
Fe: 0.377 0.377 0.868
Fe: 0.377 0.868 0.377
Fe: 0.475 0.175 0.175
Fe: 0.525 0.825 0.825
Fe: 0.623 0.132 0.623
Fe: 0.623 0.623 0.132
Fe: 0.623 0.623 0.623
Fe: 0.825 0.525 0.825
Fe: 0.825 0.825 0.525
Fe: 0.825 0.825 0.825
Fe: 0.868 0.377 0.377
Si: 0.000 0.000 0.500
Si: 0.000 0.500 0.000
Si: 0.000 0.500 0.500
Si: 0.500 0.000 0.000
Si: 0.500 0.000 0.500
Si: 0.500 0.500 0.000
Si: 0.500 0.500 0.500
C: 0.000 0.000 0.000



Record 5
This entry pairs a crystal structure of Sm12Fe5C15 with its simulated PXRD pattern. Radiation: copper Kα. Structure: a GGA-PBE-relaxed structure.
Peak positions follow from Bragg's law for the DFT cell and can differ from measured ones.

Top 12 peaks for 15° ≤ 2θ ≤ 90°, by intensity:
- 30.91°, I = 100
- 34.33°, I = 33
- 35.21°, I = 28
- 49.99°, I = 20
- 59.37°, I = 16
- 33.79°, I = 14
- 33.92°, I = 10
- 25.82°, I = 10
- 58.66°, I = 10
- 48.93°, I = 9
- 25.65°, I = 8
- 39.21°, I = 8

Structural model:
Lattice parameters (Å, degrees): 10.612 10.612 5.224 90.00 90.00 120.00
Fractional coordinates of all 32 atoms:
Sm: 0.000 0.430 0.000
Sm: 0.000 0.791 0.000
Sm: 0.185 0.729 0.500
Sm: 0.209 0.209 0.000
Sm: 0.271 0.456 0.500
Sm: 0.430 0.000 0.000
Sm: 0.456 0.271 0.500
Sm: 0.544 0.815 0.500
Sm: 0.570 0.570 0.000
Sm: 0.729 0.185 0.500
Sm: 0.791 0.000 0.000
Sm: 0.815 0.544 0.500
Fe: 0.000 0.155 0.500
Fe: 0.155 0.000 0.500
Fe: 0.333 0.667 0.000
Fe: 0.667 0.333 0.000
Fe: 0.845 0.845 0.500
C: 0.000 0.322 0.500
C: 0.000 0.448 0.500
C: 0.000 0.807 0.500
C: 0.192 0.713 0.000
C: 0.193 0.193 0.500
C: 0.287 0.479 0.000
C: 0.322 0.000 0.500
C: 0.448 0.000 0.500
C: 0.479 0.287 0.000
C: 0.521 0.808 0.000
C: 0.552 0.552 0.500
C: 0.678 0.678 0.500
C: 0.713 0.192 0.000
C: 0.807 0.000 0.500
C: 0.808 0.521 0.000



Record 6
This entry pairs a crystal structure of Sm4Fe34C3 with its simulated PXRD pattern. Radiation: copper Kα. Structure: a GGA-PBE-relaxed structure.
Peak positions follow from Bragg's law for the DFT cell and can differ from measured ones.

Top 12 peaks for 15° ≤ 2θ ≤ 90°, by intensity:
- 41.71°, I = 100
- 42.29°, I = 90
- 35.91°, I = 56
- 29.92°, I = 55
- 42.23°, I = 47
- 43.92°, I = 45
- 37.70°, I = 44
- 76.13°, I = 22
- 43.29°, I = 22
- 60.87°, I = 21
- 43.84°, I = 20
- 47.40°, I = 18

Structural model:
Lattice parameters (Å, degrees): 6.483 6.487 12.951 83.87 83.93 83.79
Fractional coordinates of all 41 atoms:
Sm: 0.150 0.166 0.076
Sm: 0.162 0.161 0.573
Sm: 0.838 0.839 0.427
Sm: 0.850 0.834 0.924
Fe: 0.001 0.501 0.749
Fe: 0.156 0.644 0.078
Fe: 0.157 0.159 0.822
Fe: 0.157 0.648 0.577
Fe: 0.158 0.158 0.325
Fe: 0.213 0.502 0.394
Fe: 0.214 0.786 0.250
Fe: 0.215 0.786 0.749
Fe: 0.222 0.499 0.889
Fe: 0.352 0.843 0.422
Fe: 0.355 0.841 0.921
Fe: 0.401 0.403 0.203
Fe: 0.405 0.405 0.700
Fe: 0.497 0.786 0.108
Fe: 0.499 0.001 0.748
Fe: 0.499 0.784 0.607
Fe: 0.500 0.500 0.000
Fe: 0.500 0.500 0.500
Fe: 0.501 0.216 0.393
Fe: 0.501 0.999 0.252
Fe: 0.503 0.214 0.892
Fe: 0.595 0.595 0.300
Fe: 0.599 0.597 0.797
Fe: 0.645 0.159 0.079
Fe: 0.648 0.157 0.578
Fe: 0.778 0.501 0.111
Fe: 0.785 0.214 0.251
Fe: 0.786 0.214 0.750
Fe: 0.787 0.498 0.606
Fe: 0.842 0.842 0.675
Fe: 0.843 0.352 0.423
Fe: 0.843 0.841 0.178
Fe: 0.844 0.356 0.922
Fe: 0.999 0.499 0.251
C: 0.000 0.000 0.252
C: 0.000 0.000 0.748
C: 0.500 0.000 0.000



Record 7
This entry pairs a crystal structure of Ta6V3Fe3C2 with its simulated PXRD pattern. Radiation: copper Kα. Structure: a GGA-PBE-relaxed structure.
Peak positions follow from Bragg's law for the DFT cell and can differ from measured ones.

Top 12 peaks for 15° ≤ 2θ ≤ 90°, by intensity:
- 40.64°, I = 100
- 40.52°, I = 98
- 38.09°, I = 60
- 38.25°, I = 58
- 30.97°, I = 51
- 68.99°, I = 35
- 33.76°, I = 35
- 33.89°, I = 35
- 44.36°, I = 33
- 68.90°, I = 33
- 56.93°, I = 22
- 69.11°, I = 22

Structural model:
Lattice parameters (Å, degrees): 8.168 8.168 8.168 120.24 119.78 89.98
Fractional coordinates of all 28 atoms:
Ta: 0.000 0.000 0.000
Ta: 0.002 0.001 0.621
Ta: 0.002 0.381 0.001
Ta: 0.246 0.746 0.500
Ta: 0.249 0.132 0.499
Ta: 0.249 0.750 0.117
Ta: 0.380 0.001 0.999
Ta: 0.380 0.380 0.000
Ta: 0.380 0.381 0.379
Ta: 0.633 0.132 0.883
Ta: 0.633 0.133 0.500
Ta: 0.633 0.750 0.501
V: 0.025 0.369 0.656
V: 0.612 0.453 0.841
V: 0.612 0.772 0.159
V: 0.615 0.772 0.843
V: 0.713 0.369 0.344
V: 0.928 0.772 0.157
Fe: 0.025 0.366 0.341
Fe: 0.025 0.684 0.659
Fe: 0.319 0.569 0.750
Fe: 0.818 0.071 0.253
Fe: 0.818 0.565 0.747
Fe: 0.819 0.569 0.250
C: 0.316 0.066 0.249
C: 0.317 0.064 0.747
C: 0.317 0.570 0.253
C: 0.817 0.066 0.751



Record 8
This entry pairs a crystal structure of Tb2Fe17C with its simulated PXRD pattern. Radiation: copper Kα. Structure: a GGA-PBE-relaxed structure.
Peak positions follow from Bragg's law for the DFT cell and can differ from measured ones.

Top 12 peaks for 15° ≤ 2θ ≤ 90°, by intensity:
- 42.53°, I = 100
- 42.19°, I = 68
- 44.00°, I = 64
- 42.71°, I = 53
- 37.89°, I = 46
- 30.06°, I = 44
- 36.19°, I = 41
- 41.95°, I = 36
- 36.39°, I = 22
- 79.91°, I = 21
- 30.14°, I = 19
- 47.88°, I = 18

Structural model:
Lattice parameters (Å, degrees): 6.452 6.452 6.421 96.54 96.54 83.76
Fractional coordinates of all 20 atoms:
Tb: 0.161 0.161 0.349
Tb: 0.839 0.839 0.651
Fe: 0.000 0.500 0.000
Fe: 0.156 0.650 0.345
Fe: 0.157 0.157 0.850
Fe: 0.211 0.501 0.710
Fe: 0.214 0.786 0.000
Fe: 0.350 0.844 0.655
Fe: 0.403 0.403 0.098
Fe: 0.499 0.789 0.290
Fe: 0.500 0.000 0.000
Fe: 0.500 0.500 0.500
Fe: 0.501 0.211 0.710
Fe: 0.597 0.597 0.902
Fe: 0.650 0.156 0.345
Fe: 0.786 0.214 0.000
Fe: 0.789 0.499 0.290
Fe: 0.843 0.843 0.150
Fe: 0.844 0.350 0.655
C: 0.000 0.000 0.000



Record 9
This entry pairs a crystal structure of Tb12Fe5C15 with its simulated PXRD pattern. Radiation: copper Kα. Structure: a GGA-PBE-relaxed structure.
Peak positions follow from Bragg's law for the DFT cell and can differ from measured ones.

Top 12 peaks for 15° ≤ 2θ ≤ 90°, by intensity:
- 31.47°, I = 100
- 35.24°, I = 32
- 35.72°, I = 27
- 51.05°, I = 19
- 60.90°, I = 16
- 34.28°, I = 13
- 26.33°, I = 11
- 59.64°, I = 10
- 34.52°, I = 10
- 49.98°, I = 9
- 39.79°, I = 8
- 26.02°, I = 8

Structural model:
Lattice parameters (Å, degrees): 10.464 10.464 5.094 90.00 90.00 120.00
Fractional coordinates of all 32 atoms:
Tb: 0.000 0.208 0.000
Tb: 0.000 0.567 0.000
Tb: 0.184 0.455 0.500
Tb: 0.208 0.000 0.000
Tb: 0.270 0.816 0.500
Tb: 0.433 0.433 0.000
Tb: 0.455 0.184 0.500
Tb: 0.545 0.730 0.500
Tb: 0.567 0.000 0.000
Tb: 0.730 0.545 0.500
Tb: 0.792 0.792 0.000
Tb: 0.816 0.270 0.500
Fe: 0.000 0.845 0.500
Fe: 0.155 0.155 0.500
Fe: 0.333 0.667 0.000
Fe: 0.667 0.333 0.000
Fe: 0.845 0.000 0.500
C: 0.000 0.197 0.500
C: 0.000 0.548 0.500
C: 0.000 0.676 0.500
C: 0.191 0.476 0.000
C: 0.197 0.000 0.500
C: 0.285 0.809 0.000
C: 0.324 0.324 0.500
C: 0.452 0.452 0.500
C: 0.476 0.191 0.000
C: 0.524 0.715 0.000
C: 0.548 0.000 0.500
C: 0.676 0.000 0.500
C: 0.715 0.524 0.000
C: 0.803 0.803 0.500
C: 0.809 0.285 0.000



Record 10
This entry pairs a crystal structure of TbTiFe11C with its simulated PXRD pattern. Radiation: copper Kα. Structure: a GGA-PBE-relaxed structure.
Peak positions follow from Bragg's law for the DFT cell and can differ from measured ones.

Top 12 peaks for 15° ≤ 2θ ≤ 90°, by intensity:
- 42.83°, I = 100
- 42.59°, I = 99
- 42.48°, I = 68
- 42.27°, I = 38
- 29.72°, I = 34
- 48.10°, I = 30
- 36.54°, I = 29
- 36.75°, I = 27
- 70.45°, I = 26
- 36.98°, I = 24
- 29.83°, I = 22
- 61.54°, I = 13

Structural model:
Lattice parameters (Å, degrees): 6.497 6.497 6.497 136.06 97.67 98.42
Fractional coordinates of all 14 atoms:
Tb: 0.000 0.000 0.000
Ti: 0.374 0.374 0.000
Fe: 0.005 0.006 0.498
Fe: 0.005 0.507 0.999
Fe: 0.230 0.510 0.720
Fe: 0.230 0.730 0.500
Fe: 0.366 0.008 0.359
Fe: 0.508 0.006 0.001
Fe: 0.508 0.507 0.502
Fe: 0.649 0.008 0.641
Fe: 0.651 0.651 0.000
Fe: 0.783 0.283 0.500
Fe: 0.790 0.510 0.280
C: 0.006 0.506 0.500